[1]
Diffraction record for ErCo6Ge6. The XRD peak list is calculated, not measured: it uses a crystal structure in the Materials Project, relaxed with PBE and copper Kα.

Largest 8 diffraction maxima, by intensity, 10 to 90 degrees two-theta:
2θ/deg	I (rel.)	index
42.5	100.0	1 1 2
35.4	71.0	1 1 0
41.1	55.2	2 0 0
47.5	41.9	2 0 2
40.1	40.4	1 0 3
74.9	35.2	2 2 0
83.1	25.9	1 1 6
46.3	24.0	0 0 4

Crystal structure
```
data_ErCo6Ge6
_cell_length_a 5.0690
_cell_length_b 5.0690
_cell_length_c 7.8505
_cell_angle_alpha 90.00
_cell_angle_beta 90.00
_cell_angle_gamma 120.00
_symmetry_space_group_name_H-M 'P 6/m m m'
_symmetry_Int_Tables_number 191
_symmetry_space_group_name_Hall '-P 6 2'
loop_
_atom_site_label
_atom_site_type_symbol
_atom_site_fract_x
_atom_site_fract_y
_atom_site_fract_z
Er1 Er 0.0000 0.0000 0.0000
Co1 Co 0.0000 0.5000 0.2501
Ge1 Ge 0.0000 0.0000 0.3444
Ge2 Ge 0.3333 0.6667 0.0000
Ge3 Ge 0.3333 0.6667 0.5000
```

[2]
Diffraction record for Ce2Fe3Rh. The XRD peak list is calculated, not measured: it uses a crystal structure in the Materials Project, relaxed with PBE and copper Kα.

Largest 8 diffraction maxima, by intensity, 10 to 90 degrees two-theta:
2θ/deg	I (rel.)	index
41.6	100.0	1 1 3
39.9	68.3	0 1 5
36.0	65.3	1 1 0
34.1	38.4	1 0 4
44.1	29.9	2 0 2
42.4	28.8	0 2 1
67.4	28.0	1 2 5
71.7	24.1	2 0 8

Crystal structure
```
data_Ce2Fe3Rh
_cell_length_a 4.9836
_cell_length_b 4.9836
_cell_length_c 13.2802
_cell_angle_alpha 90.00
_cell_angle_beta 90.00
_cell_angle_gamma 120.00
_symmetry_space_group_name_H-M 'R -3 m'
_symmetry_Int_Tables_number 166
_symmetry_space_group_name_Hall '-R 3 2"'
loop_
_atom_site_label
_atom_site_type_symbol
_atom_site_fract_x
_atom_site_fract_y
_atom_site_fract_z
Ce1 Ce 0.0000 0.0000 0.1214
Fe1 Fe 0.0000 0.5000 0.0000
Rh1 Rh 0.0000 0.0000 0.5000
```

[3]
Diffraction record for Nb8Cu2O21. The XRD peak list is calculated, not measured: it uses a crystal structure in the Materials Project, relaxed with PBE and copper Kα.

Largest 8 diffraction maxima, by intensity, 10 to 90 degrees two-theta:
2θ/deg	I (rel.)	index
28.8	100.0	3 1 0
26.3	80.0	0 0 3
27.4	64.1	0 2 0
32.6	35.6	0 2 2
32.2	34.3	1 1 3
49.3	30.5	3 3 0
36.3	27.4	3 1 2
58.9	26.5	6 2 -1

Crystal structure
```
data_Nb8Cu2O21
_cell_length_a 10.723
_cell_length_b 6.520
_cell_length_c 10.341
_cell_angle_alpha 90.00
_cell_angle_beta 100.25
_cell_angle_gamma 90.00
_symmetry_space_group_name_H-M 'C 1 2/m 1'
_symmetry_Int_Tables_number 12
loop_
_symmetry_equiv_pos_as_xyz
'x,y,z'
'-x,-y,-z'
'-x,y,-z'
'x,-y,z'
'x+1/2,y+1/2,z'
'-x+1/2,-y+1/2,-z'
'-x+1/2,y+1/2,-z'
'x+1/2,-y+1/2,z'
loop_
_atom_site_label
_atom_site_type_symbol
_atom_site_fract_x
_atom_site_fract_y
_atom_site_fract_z
Nb1 Nb 0.002 0.000 0.186
Nb2 Nb 0.120 0.500 0.834
Nb3 Nb 0.199 0.500 0.228
Nb4 Nb 0.245 0.000 0.435
Cu1 Cu 0.000 0.250 0.500
O1 O 0.000 0.000 0.000
O2 O 0.046 0.314 0.188
O3 O 0.050 0.000 0.391
O4 O 0.087 0.500 0.609
O5 O 0.158 0.184 0.813
O6 O 0.164 0.500 0.011
O7 O 0.203 0.000 0.225
O8 O 0.230 0.320 0.393
```

[4]
Diffraction record for NaCaZrBiO6. The XRD peak list is calculated, not measured: it uses a crystal structure in the Materials Project, relaxed with PBE and copper Kα.

Largest 8 diffraction maxima, by intensity, 10 to 90 degrees two-theta:
2θ/deg	I (rel.)	index
30.3	100.0	2 2 0
21.3	76.9	2 0 0
53.8	40.9	4 2 2
43.4	35.8	4 0 0
48.8	34.3	4 2 0
18.4	24.0	1 1 1
63.0	21.8	4 4 0
87.5	21.7	6 4 2

Crystal structure
```
data_NaCaZrBiO6
_cell_length_a 8.344
_cell_length_b 8.344
_cell_length_c 8.344
_cell_angle_alpha 90.00
_cell_angle_beta 90.00
_cell_angle_gamma 90.00
_symmetry_space_group_name_H-M 'F -4 3 m'
_symmetry_Int_Tables_number 216
_symmetry_space_group_name_Hall 'F -4 2 3'
loop_
_atom_site_label
_atom_site_type_symbol
_atom_site_fract_x
_atom_site_fract_y
_atom_site_fract_z
Na1 Na 0.000 0.000 0.000
Ca1 Ca 0.000 0.000 0.500
Zr1 Zr 0.250 0.250 0.250
Bi1 Bi 0.250 0.250 0.750
O1 O 0.001 0.250 0.250
```

[5]
Diffraction record for Si5Mo10P. The XRD peak list is calculated, not measured: it uses a crystal structure in the Materials Project, relaxed with PBE and copper Kα.

Largest 8 diffraction maxima, by intensity, 10 to 90 degrees two-theta:
2θ/deg	I (rel.)	index
42.7	100.0	4 1 1
38.2	71.9	3 2 1
41.8	57.0	4 2 0
45.4	56.3	2 2 2
41.1	36.7	2 0 2
27.5	30.5	2 1 1
36.5	25.9	0 0 2
29.2	25.5	3 1 0

Crystal structure
```
data_Si5Mo10P
_cell_length_a 9.661
_cell_length_b 9.661
_cell_length_c 4.929
_cell_angle_alpha 90.00
_cell_angle_beta 90.00
_cell_angle_gamma 90.00
_symmetry_space_group_name_H-M 'I 4 2 2'
_symmetry_Int_Tables_number 97
_symmetry_space_group_name_Hall 'I 4 2'
loop_
_atom_site_label
_atom_site_type_symbol
_atom_site_fract_x
_atom_site_fract_y
_atom_site_fract_z
Si1 Si 0.000 0.000 0.000
Si2 Si 0.168 0.332 0.750
Mo1 Mo 0.000 0.500 0.000
Mo2 Mo 0.076 0.223 0.252
P1 P 0.000 0.000 0.500
```

[6]
Diffraction record for ErRu3. The XRD peak list is calculated, not measured: it uses a crystal structure in the Materials Project, relaxed with PBE and copper Kα.

Largest 8 diffraction maxima, by intensity, 10 to 90 degrees two-theta:
2θ/deg	I (rel.)	index
38.7	100.0	1 1 1
45.0	48.7	2 0 0
78.8	36.8	3 1 1
65.5	31.3	2 2 0
83.0	10.8	2 2 2
22.1	5.1	1 0 0
31.4	4.4	1 1 0
50.6	2.5	2 1 0

Crystal structure
```
data_ErRu3
_cell_length_a 4.030
_cell_length_b 4.030
_cell_length_c 4.030
_cell_angle_alpha 90.00
_cell_angle_beta 90.00
_cell_angle_gamma 90.00
_symmetry_space_group_name_H-M 'P m -3 m'
_symmetry_Int_Tables_number 221
_symmetry_space_group_name_Hall '-P 4 2 3'
loop_
_atom_site_label
_atom_site_type_symbol
_atom_site_fract_x
_atom_site_fract_y
_atom_site_fract_z
Er1 Er 0.000 0.000 0.000
Ru1 Ru 0.000 0.500 0.500
```